This entry pairs a crystal structure of UPO5 with its simulated XRD peak list. Radiation: Cu Ka. Structure: a structure optimized by DFT (GGA-PBE).
Neutral-atom scattering factors, no anomalous dispersion.

```
data_UPO5
_cell_length_a 5.6613
_cell_length_b 5.6613
_cell_length_c 14.6792
_cell_angle_alpha 90.00
_cell_angle_beta 90.00
_cell_angle_gamma 104.56
_space_group_name_H-M_alt 'P 1'
_space_group_IT_number 1
loop_
_space_group_symop_operation_xyz
'x,y,z'
loop_
_atom_site_label
_atom_site_type_symbol
_atom_site_fract_x
_atom_site_fract_y
_atom_site_fract_z
U1 U 0.0905 0.9095 0.8991
U2 U 0.4095 0.5905 0.3991
U3 U 0.5905 0.4095 0.6009
U4 U 0.9095 0.0905 0.1009
P1 P 0.0007 0.9993 0.3481
P2 P 0.4993 0.5007 0.8480
P3 P 0.5007 0.4993 0.1520
P4 P 0.9993 0.0007 0.6520
O1 O 0.0233 0.9767 0.7570
O2 O 0.1107 0.2533 0.3894
O3 O 0.1207 0.8793 0.0404
O4 O 0.1715 0.8285 0.3660
O5 O 0.2467 0.3893 0.1106
O6 O 0.2533 0.1107 0.6106
O7 O 0.3285 0.6715 0.8660
O8 O 0.3793 0.6207 0.5404
O9 O 0.3893 0.2467 0.8894
O10 O 0.4767 0.5233 0.2570
O11 O 0.5233 0.4767 0.7430
O12 O 0.6107 0.7533 0.1106
O13 O 0.6207 0.3793 0.4596
O14 O 0.6715 0.3285 0.1340
O15 O 0.7467 0.8893 0.3894
O16 O 0.7533 0.6107 0.8894
O17 O 0.8285 0.1715 0.6340
O18 O 0.8793 0.1207 0.9596
O19 O 0.8893 0.7467 0.6106
O20 O 0.9767 0.0233 0.2430
```

The 10 most intense peaks (2θ from 10° to 80°), low angle first:
| 2theta | I/Imax |
| --- | --- |
| 17.27 | 100 |
| 19.83 | 28 |
| 20.22 | 59 |
| 20.74 | 32 |
| 24.25 | 37 |
| 25.72 | 48 |
| 26.99 | 38 |
| 34.66 | 31 |
| 34.94 | 40 |
| 40.81 | 26 |



This entry pairs a crystal structure of U2P2O9 with its simulated XRD peak list. Radiation: Cu Ka. Structure: a structure optimized by DFT (GGA-PBE).
Neutral-atom scattering factors, no anomalous dispersion.

```
data_U2P2O9
_cell_length_a 5.7693
_cell_length_b 5.7693
_cell_length_c 12.7731
_cell_angle_alpha 90.00
_cell_angle_beta 90.00
_cell_angle_gamma 103.68
_space_group_name_H-M_alt 'P 1'
_space_group_IT_number 1
loop_
_space_group_symop_operation_xyz
'x,y,z'
loop_
_atom_site_label
_atom_site_type_symbol
_atom_site_fract_x
_atom_site_fract_y
_atom_site_fract_z
U1 U 0.2085 0.7915 0.9308
U2 U 0.2915 0.7085 0.4308
U3 U 0.7085 0.2915 0.5692
U4 U 0.7915 0.2085 0.0692
P1 P 0.1092 0.8908 0.6436
P2 P 0.3908 0.6092 0.1436
P3 P 0.6092 0.3908 0.8564
P4 P 0.8908 0.1092 0.3564
O1 O 0.0000 0.0000 0.0000
O2 O 0.0141 0.6462 0.5865
O3 O 0.0585 0.9415 0.3763
O4 O 0.1397 0.8603 0.7609
O5 O 0.1462 0.5141 0.0865
O6 O 0.3538 0.9859 0.5865
O7 O 0.3603 0.6397 0.2609
O8 O 0.4415 0.5585 0.8763
O9 O 0.4859 0.8538 0.0865
O10 O 0.5000 0.5000 0.5000
O11 O 0.5141 0.1462 0.9135
O12 O 0.5585 0.4415 0.1237
O13 O 0.6397 0.3603 0.7391
O14 O 0.6462 0.0141 0.4135
O15 O 0.8538 0.4859 0.9135
O16 O 0.8603 0.1397 0.2391
O17 O 0.9415 0.0585 0.6237
O18 O 0.9859 0.3538 0.4135
```

The 10 most intense peaks (2θ from 10° to 80°), low angle first:
| 2theta | I/Imax |
| --- | --- |
| 13.87 | 70 |
| 19.57 | 57 |
| 20.78 | 25 |
| 21.09 | 100 |
| 24.06 | 30 |
| 24.98 | 69 |
| 28.72 | 36 |
| 32.26 | 79 |
| 41.76 | 30 |
| 48.81 | 34 |